Record 1
Diffraction record for Ga2HS4. The X-ray diffraction stick pattern is computed, not measured: it uses a GGA-PBE-relaxed structure and λ = 1.5418 Å (Cu Kα).
Intensities are scaled so that the largest is 100.

Cell and atoms:
a = 5.0091 Å, b = 5.0091 Å, c = 5.2628 Å
α = 90.00°, β = 90.00°, γ = 90.00°
Space group P-42m (No. 111)
One atom of each set of equivalent atoms:
Ga 0.0000 0.5000 0.0000 (multiplicity 2)
H 0.0000 0.0000 0.5000 (multiplicity 1)
S 0.2458 0.2458 0.7237 (multiplicity 4)

Top 10 peaks for 2θ from 15° to 90°, low angle first:
2θ/deg, I/Imax, hkl
16.8, 39, 0 0 1
25.1, 43, 1 1 0
30.4, 100, 1 1 1
39.9, 33, 2 0 1
42.8, 22, 1 1 2
50.3, 43, 2 0 2
51.6, 21, 2 2 0
58.7, 12, 1 1 3
61.1, 24, 3 1 1
69.2, 10, 3 1 2

Record 2
Diffraction record for RbTl2GaPt. The X-ray diffraction stick pattern is computed, not measured: it uses a GGA-PBE-relaxed structure and λ = 1.5418 Å (Cu Kα).
Intensities are scaled so that the largest is 100.

Cell and atoms:
a = 5.6103 Å, b = 5.6103 Å, c = 4.9537 Å
α = 90.00°, β = 90.00°, γ = 90.00°
Space group P4/mmm (No. 123)
One atom of each set of equivalent atoms:
Rb 0.0000 0.0000 0.0000 (multiplicity 1)
Tl 0.0000 0.5000 0.5000 (multiplicity 2)
Ga 0.5000 0.5000 0.0000 (multiplicity 1)
Pt 0.5000 0.5000 0.5000 (multiplicity 1)

Top 10 peaks for 2θ from 15° to 90°, low angle first:
2θ/deg, I/Imax, hkl
15.8, 30, 1 0 0
17.9, 65, 0 0 1
24.0, 31, 1 0 1
28.8, 62, 1 1 1
31.9, 100, 2 0 0
36.3, 36, 0 0 2
36.8, 45, 2 0 1
45.7, 37, 2 2 0
49.1, 61, 2 0 2
59.7, 34, 2 2 2

Record 3
Diffraction record for Rb2Nb3O9. The X-ray diffraction stick pattern is computed, not measured: it uses a GGA-PBE-relaxed structure and λ = 1.5418 Å (Cu Kα).
Intensities are scaled so that the largest is 100.

Cell and atoms:
a = 9.6768 Å, b = 15.8648 Å, c = 9.2000 Å
α = 90.00°, β = 118.13°, γ = 90.00°
Space group C2/m (No. 12)
One atom of each set of equivalent atoms:
Rb 0.0910 0.1569 0.3036 (multiplicity 8)
Nb 0.1642 0.3845 0.1941 (multiplicity 8)
Nb 0.1939 0.5000 0.8834 (multiplicity 4)
O 0.0000 0.3237 0.0000 (multiplicity 4)
O 0.0175 0.4174 0.7686 (multiplicity 8)
O 0.1845 0.0000 0.2148 (multiplicity 4)
O 0.2158 0.1916 0.6542 (multiplicity 8)
O 0.2289 0.0873 0.9385 (multiplicity 8)
O 0.2385 0.5000 0.2907 (multiplicity 4)

Top 10 peaks for 2θ from 15° to 90°, low angle first:
2θ/deg, I/Imax, hkl
15.6, 65, 0 2 1
20.1, 56, 1 3 -1
21.9, 93, 0 0 2
25.7, 100, 1 3 -2
27.8, 68, 2 0 1
29.1, 98, 2 4 -1
30.1, 55, 1 1 -3
33.7, 72, 3 1 -3
36.0, 44, 2 4 1
40.4, 54, 1 5 2

Record 4
Diffraction record for Cs2NaHg10. The X-ray diffraction stick pattern is computed, not measured: it uses a GGA-PBE-relaxed structure and λ = 1.5418 Å (Cu Kα).
Intensities are scaled so that the largest is 100.

Cell and atoms:
a = 10.8999 Å, b = 13.2786 Å, c = 6.7609 Å
α = 90.00°, β = 90.00°, γ = 90.00°
Space group Pbam (No. 55)
One atom of each set of equivalent atoms:
Cs 0.2411 0.0646 0.0000 (multiplicity 4)
Na 0.0000 0.5000 0.5000 (multiplicity 2)
Hg 0.0494 0.1134 0.5000 (multiplicity 4)
Hg 0.0698 0.3117 0.2244 (multiplicity 8)
Hg 0.1722 0.6947 0.5000 (multiplicity 4)
Hg 0.2307 0.9248 0.5000 (multiplicity 4)

Top 10 peaks for 2θ from 15° to 90°, low angle first:
2θ/deg, I/Imax, hkl
21.1, 20, 2 2 0
21.7, 25, 1 3 0
31.1, 100, 1 4 1
31.1, 29, 2 0 2
31.9, 32, 2 1 2
33.6, 45, 4 1 0
34.4, 23, 1 3 2
34.8, 35, 1 5 0
38.8, 27, 3 2 2
55.4, 20, 0 8 0

Record 5
Diffraction record for Sr2GeAu2. The X-ray diffraction stick pattern is computed, not measured: it uses a GGA-PBE-relaxed structure and λ = 1.5418 Å (Cu Kα).
Intensities are scaled so that the largest is 100.

Cell and atoms:
a = 4.5589 Å, b = 6.2976 Å, c = 9.2274 Å
α = 90.00°, β = 90.00°, γ = 90.00°
Space group Immm (No. 71)
One atom of each set of equivalent atoms:
Sr 0.0000 0.0000 0.2030 (multiplicity 4)
Ge 0.0000 0.5000 0.0000 (multiplicity 2)
Au 0.0000 0.2696 0.5000 (multiplicity 4)

Top 10 peaks for 2θ from 15° to 90°, low angle first:
2θ/deg, I/Imax, hkl
19.2, 46, 0 0 2
21.7, 48, 1 0 1
31.0, 42, 1 1 2
34.5, 45, 0 2 2
35.2, 43, 1 0 3
36.0, 100, 1 2 1
39.0, 22, 0 0 4
39.5, 31, 2 0 0
53.5, 26, 2 2 2
61.7, 32, 1 2 5

Record 6
Diffraction record for UH12S2O15. The X-ray diffraction stick pattern is computed, not measured: it uses a GGA-PBE-relaxed structure and λ = 1.5418 Å (Cu Kα).
Intensities are scaled so that the largest is 100.

Cell and atoms:
a = 11.6328 Å, b = 7.7532 Å, c = 14.9450 Å
α = 90.00°, β = 100.42°, γ = 90.00°
Space group C2/c (No. 15)
One atom of each set of equivalent atoms:
U 0.0000 0.2473 0.2500 (multiplicity 4)
H 0.0532 0.2563 0.4959 (multiplicity 8)
H 0.0656 0.1346 0.7804 (multiplicity 8)
H 0.1353 0.1847 0.5860 (multiplicity 8)
H 0.1482 0.4219 0.5545 (multiplicity 8)
H 0.2315 0.4644 0.9838 (multiplicity 8)
H 0.2435 0.3870 0.0888 (multiplicity 8)
S 0.2235 0.4057 0.8092 (multiplicity 8)
O 0.0000 0.0604 0.7500 (multiplicity 4)
O 0.0257 0.2457 0.3736 (multiplicity 8)
O 0.0883 0.2859 0.5595 (multiplicity 8)
O 0.1267 0.4908 0.2555 (multiplicity 8)
O 0.1750 0.2428 0.8393 (multiplicity 8)
O 0.1924 0.4513 0.0383 (multiplicity 8)
O 0.1930 0.1352 0.2531 (multiplicity 8)
O 0.2170 0.0017 0.6095 (multiplicity 8)

Top 10 peaks for 2θ from 15° to 90°, low angle first:
2θ/deg, I/Imax, hkl
15.6, 100, 1 1 1
17.8, 22, 2 0 -2
21.7, 23, 1 1 -3
23.9, 57, 1 1 3
24.2, 21, 0 0 4
25.8, 62, 3 1 -1
26.0, 22, 0 2 2
26.4, 28, 2 0 -4
27.8, 65, 2 2 0
35.9, 20, 1 3 -1